Record 1
Structure and calculated powder diffraction line list of Ba3W3N5 (a PBE-relaxed structure; copper Kα).

Main lines, by angle (2θ from 10° to 80°):
2θ/deg	intensity	h k l
12.3	19	0 1 0
26.9	35	1 -1 2
29.8	74	0 2 1
30.3	99	1 2 -2
31.1	100	1 0 -3
35.6	21	1 -1 3
38.7	20	2 1 1
54.2	20	-1 2 4

Structure:
```
data_Ba3W3N5
_cell_length_a 6.232
_cell_length_b 7.579
_cell_length_c 9.283
_cell_angle_alpha 106.61
_cell_angle_beta 101.39
_cell_angle_gamma 95.03
_space_group_name_H-M_alt 'P -1'
_space_group_IT_number 2
loop_
_space_group_symop_operation_xyz
'x,y,z'
'-x,-y,-z'
loop_
_atom_site_label
_atom_site_fract_x
_atom_site_fract_y
_atom_site_fract_z
_atom_site_occupancy
Ba1 0.142 0.151 0.214 1
Ba2 0.144 0.360 0.881 1
Ba3 0.319 0.927 0.612 1
W1 0.195 0.455 0.569 1
W2 0.387 0.594 0.298 1
W3 0.415 0.812 0.971 1
N1 0.116 0.553 0.378 1
N2 0.282 0.035 0.937 1
N3 0.355 0.702 0.129 1
N4 0.366 0.245 0.526 1
N5 0.407 0.614 0.776 1
```

---

Record 2
Structure and calculated powder diffraction line list of TbP2Ru2 (a PBE-relaxed structure; copper Kα).

Main lines, by angle (2θ from 10° to 80°):
2θ/deg	intensity	h k l
23.8	28	1 0 1
35.7	32	1 0 3
36.4	100	1 1 2
37.4	16	0 0 4
44.6	38	2 0 0
59.6	17	2 0 4
66.9	17	1 1 6
76.8	22	3 1 2

Structure:
```
data_TbP2Ru2
_cell_length_a 4.061
_cell_length_b 4.061
_cell_length_c 9.615
_cell_angle_alpha 90.00
_cell_angle_beta 90.00
_cell_angle_gamma 90.00
_space_group_name_H-M_alt 'I 4/m m m'
_space_group_IT_number 139
_space_group_name_Hall '-I 4 2'
loop_
_atom_site_label
_atom_site_fract_x
_atom_site_fract_y
_atom_site_fract_z
_atom_site_occupancy
Tb1 0.000 0.000 0.000 1
P1 0.000 0.000 0.375 1
Ru1 0.000 0.500 0.250 1
```

---

Record 3
Structure and calculated powder diffraction line list of PmY3 (a PBE-relaxed structure; copper Kα).

Main lines, by angle (2θ from 10° to 80°):
2θ/deg	intensity	h k l
28.1	24	2 0 0
30.9	25	0 0 2
32.2	100	2 0 1
42.3	16	2 0 2
49.8	19	2 2 0
55.8	20	2 0 3
59.8	22	2 2 2
60.5	16	4 0 1

Structure:
```
data_PmY3
_cell_length_a 7.3228
_cell_length_b 7.3228
_cell_length_c 5.7899
_cell_angle_alpha 90.00
_cell_angle_beta 90.00
_cell_angle_gamma 120.00
_space_group_name_H-M_alt 'P 63/m m c'
_space_group_IT_number 194
_space_group_name_Hall '-P 6c 2c'
loop_
_atom_site_label
_atom_site_fract_x
_atom_site_fract_y
_atom_site_fract_z
_atom_site_occupancy
Pm1 0.3333 0.6667 0.2500 1
Y1 0.1660 0.3320 0.7500 1
```

---

Record 4
Structure and calculated powder diffraction line list of K2WS4 (a PBE-relaxed structure; copper Kα).

Main lines, by angle (2θ from 10° to 80°):
2θ/deg	intensity	h k l
16.8	48	1 0 2
16.9	100	1 1 1
18.5	34	2 0 0
23.4	21	2 1 1
24.5	51	0 1 3
24.8	30	0 2 0
31.4	34	3 1 1
53.9	18	2 2 6

Structure:
```
data_K2WS4
_cell_length_a 9.609
_cell_length_b 7.184
_cell_length_c 12.636
_cell_angle_alpha 90.00
_cell_angle_beta 90.00
_cell_angle_gamma 90.00
_space_group_name_H-M_alt 'P n m a'
_space_group_IT_number 62
loop_
_space_group_symop_operation_xyz
'x,y,z'
'-x,-y,-z'
'-x+1/2,-y,z+1/2'
'x+1/2,y,-z+1/2'
'x+1/2,-y+1/2,-z+1/2'
'-x+1/2,y+1/2,z+1/2'
'-x,y+1/2,-z'
'x,-y+1/2,z'
loop_
_atom_site_label
_atom_site_fract_x
_atom_site_fract_y
_atom_site_fract_z
_atom_site_occupancy
K1 0.013 0.250 0.190 1
K2 0.171 0.750 0.414 1
W1 0.231 0.750 0.078 1
S1 0.003 0.750 0.084 1
S2 0.188 0.002 0.660 1
S3 0.193 0.250 0.413 1
```

---

Record 5
Structure and calculated powder diffraction line list of CsGdHgSe3 (a PBE-relaxed structure; copper Kα).

Main lines, by angle (2θ from 10° to 80°):
2θ/deg	intensity	h k l
10.8	95	0 2 0
27.4	100	1 3 1
30.7	52	1 3 2
31.8	47	0 0 4
38.0	34	1 5 2
41.6	33	2 0 0
48.5	34	1 3 5
50.6	24	1 7 3

Structure:
```
data_CsGdHgSe3
_cell_length_a 4.344
_cell_length_b 16.346
_cell_length_c 11.253
_cell_angle_alpha 90.00
_cell_angle_beta 90.00
_cell_angle_gamma 90.00
_space_group_name_H-M_alt 'C m c m'
_space_group_IT_number 63
_space_group_name_Hall '-C 2c 2'
loop_
_atom_site_label
_atom_site_fract_x
_atom_site_fract_y
_atom_site_fract_z
_atom_site_occupancy
Cs1 0.000 0.244 0.250 1
Gd1 0.000 0.500 0.000 1
Hg1 0.000 0.046 0.750 1
Se1 0.000 0.119 0.542 1
Se2 0.000 0.440 0.750 1
```

---

Record 6
Structure and calculated powder diffraction line list of Sc2Te3 (a PBE-relaxed structure; copper Kα).

Main lines, by angle (2θ from 10° to 80°):
2θ/deg	intensity	h k l
26.1	18	2 0 0
26.3	36	1 3 -1
26.5	18	0 0 2
30.5	100	1 3 1
43.4	25	3 3 -1
43.6	24	2 0 2
43.9	24	1 3 -3
54.2	13	2 6 -2

Structure:
```
data_Sc2Te3
_cell_length_a 7.229
_cell_length_b 12.453
_cell_length_c 7.121
_cell_angle_alpha 90.00
_cell_angle_beta 109.40
_cell_angle_gamma 90.00
_space_group_name_H-M_alt 'C 1 2/c 1'
_space_group_IT_number 15
loop_
_space_group_symop_operation_xyz
'x,y,z'
'-x,-y,-z'
'-x,y,-z+1/2'
'x,-y,z+1/2'
'x+1/2,y+1/2,z'
'-x+1/2,-y+1/2,-z'
'-x+1/2,y+1/2,-z+1/2'
'x+1/2,-y+1/2,z+1/2'
loop_
_atom_site_label
_atom_site_fract_x
_atom_site_fract_y
_atom_site_fract_z
_atom_site_occupancy
Sc1 0.000 0.085 0.250 1
Sc2 0.000 0.249 0.750 1
Te1 0.248 0.084 0.000 1
Te2 0.250 0.250 0.500 1
```